1.
# Nb12TlTe16
Theoretical X-ray diffraction stick pattern, a wavelength of 1.5418 Å. Input: a DFT-relaxed cell (PBE, the Materials Project).
Peak positions follow from Bragg's law for the DFT cell and can differ from measured ones.

Most intense lines, 2θ = 15–90°, in order of falling intensity:
- 2θ = 35.2°, I = 100.0
- 2θ = 34.5°, I = 74.6
- 2θ = 31.0°, I = 67.3
- 2θ = 28.6°, I = 47.8
- 2θ = 41.5°, I = 35.4
- 2θ = 75.6°, I = 34.1

Crystal structure
```
Nb12TlTe16
1.0
10.830 0.000 0.000
-5.415 9.379 0.000
0.000 0.000 14.652
Nb Tl Te
24 2 32
Direct
0.055 0.232 0.000
0.056 0.232 0.249
0.056 0.232 0.751
0.058 0.232 0.500
0.152 0.718 0.375
0.152 0.718 0.625
0.154 0.718 0.124
0.154 0.718 0.876
0.174 0.942 0.500
0.176 0.944 0.249
0.176 0.944 0.751
0.176 0.945 0.000
0.282 0.435 0.124
0.282 0.435 0.375
0.282 0.435 0.625
0.282 0.435 0.876
0.565 0.846 0.124
0.565 0.846 0.876
0.565 0.848 0.375
0.565 0.848 0.625
0.768 0.824 0.000
0.768 0.824 0.249
0.768 0.824 0.751
0.768 0.826 0.500
0.667 0.333 0.366
0.667 0.333 0.634
0.000 0.000 0.125
0.000 0.000 0.375
0.000 0.000 0.625
0.000 0.000 0.875
0.007 0.400 0.125
0.007 0.400 0.875
0.009 0.399 0.375
0.009 0.399 0.625
0.329 0.267 0.000
0.331 0.267 0.249
0.331 0.267 0.751
0.333 0.667 0.000
0.333 0.667 0.251
0.333 0.667 0.500
0.333 0.667 0.749
0.334 0.267 0.500
0.390 0.991 0.375
0.390 0.991 0.625
0.392 0.993 0.125
0.392 0.993 0.875
0.600 0.608 0.125
0.600 0.608 0.875
0.601 0.610 0.375
0.601 0.610 0.625
0.733 0.063 0.000
0.733 0.064 0.249
0.733 0.064 0.751
0.733 0.066 0.500
0.934 0.666 0.500
0.936 0.669 0.249
0.936 0.669 0.751
0.937 0.671 0.000
```

***

2.
# Cs2ErCuCl6
Theoretical X-ray diffraction stick pattern, a wavelength of 1.5418 Å. Input: a DFT-relaxed cell (PBE, the Materials Project).
Peak positions follow from Bragg's law for the DFT cell and can differ from measured ones.

Most intense lines, 2θ = 15–90°, in order of falling intensity:
- 2θ = 24.0°, I = 100.0
- 2θ = 34.2°, I = 57.4
- 2θ = 42.2°, I = 45.8
- 2θ = 49.1°, I = 39.0
- 2θ = 66.7°, I = 23.9
- 2θ = 55.3°, I = 20.8

Crystal structure
```
Cs2ErCuCl6
1.0
0.000 5.249 5.249
5.249 0.000 5.249
5.249 5.249 0.000
Cs Er Cu Cl
2 1 1 6
Direct
0.250 0.250 0.250
0.750 0.750 0.750
0.000 0.000 0.000
0.500 0.500 0.500
0.251 0.251 0.749
0.251 0.749 0.251
0.251 0.749 0.749
0.749 0.251 0.251
0.749 0.251 0.749
0.749 0.749 0.251
```

***

3.
# KSi2BO6
Theoretical X-ray diffraction stick pattern, a wavelength of 1.5418 Å. Input: a DFT-relaxed cell (PBE, the Materials Project).
Peak positions follow from Bragg's law for the DFT cell and can differ from measured ones.

Most intense lines, 2θ = 15–90°, in order of falling intensity:
- 2θ = 26.7°, I = 100.0
- 2θ = 25.1°, I = 72.0
- 2θ = 27.8°, I = 42.3
- 2θ = 32.5°, I = 41.0
- 2θ = 35.1°, I = 37.9
- 2θ = 33.7°, I = 35.4

Crystal structure
```
KSi2BO6
1.0
4.777 0.000 0.000
0.000 10.097 0.000
0.000 0.000 10.565
K Si B O
4 8 4 24
Direct
0.202 0.034 0.311
0.298 0.966 0.811
0.702 0.466 0.689
0.798 0.534 0.189
0.214 0.391 0.435
0.234 0.302 0.924
0.266 0.698 0.424
0.286 0.609 0.935
0.714 0.109 0.565
0.734 0.198 0.076
0.766 0.802 0.576
0.786 0.891 0.065
0.211 0.231 0.657
0.289 0.769 0.157
0.711 0.269 0.343
0.789 0.731 0.843
0.011 0.306 0.342
0.025 0.802 0.473
0.043 0.121 0.605
0.118 0.256 0.789
0.129 0.550 0.421
0.170 0.356 0.585
0.330 0.644 0.085
0.371 0.450 0.921
0.382 0.744 0.289
0.457 0.879 0.105
0.475 0.198 0.973
0.489 0.694 0.842
0.511 0.194 0.658
0.525 0.698 0.527
0.543 0.379 0.395
0.618 0.244 0.211
0.629 0.950 0.579
0.670 0.144 0.415
0.830 0.856 0.915
0.871 0.050 0.079
0.882 0.756 0.711
0.957 0.621 0.895
0.975 0.302 0.027
0.989 0.806 0.158
```

***

4.
# LaH4S2NO8
Theoretical X-ray diffraction stick pattern, a wavelength of 1.5418 Å. Input: a DFT-relaxed cell (PBE, the Materials Project).
Peak positions follow from Bragg's law for the DFT cell and can differ from measured ones.

Most intense lines, 2θ = 15–90°, in order of falling intensity:
- 2θ = 25.1°, I = 100.0
- 2θ = 18.6°, I = 86.1
- 2θ = 29.4°, I = 63.9
- 2θ = 26.7°, I = 59.9
- 2θ = 16.8°, I = 34.2
- 2θ = 32.3°, I = 33.6

Crystal structure
```
LaH4S2NO8
1.0
7.170 0.000 0.000
0.000 5.550 0.000
-1.391 0.000 9.251
La H S N O
2 8 4 2 16
Direct
0.198 0.250 0.276
0.802 0.750 0.724
0.170 0.250 0.803
0.343 0.250 0.696
0.376 0.100 0.853
0.376 0.400 0.853
0.624 0.600 0.147
0.624 0.900 0.147
0.657 0.750 0.304
0.830 0.750 0.197
0.189 0.750 0.073
0.276 0.750 0.566
0.724 0.250 0.434
0.811 0.250 0.927
0.315 0.250 0.801
0.685 0.750 0.199
0.066 0.750 0.932
0.077 0.750 0.198
0.100 0.750 0.632
0.282 0.529 0.477
0.282 0.971 0.477
0.310 0.530 0.088
0.310 0.970 0.088
0.440 0.750 0.684
0.560 0.250 0.316
0.690 0.030 0.912
0.690 0.470 0.912
0.718 0.029 0.523
0.718 0.471 0.523
0.900 0.250 0.368
0.923 0.250 0.802
0.934 0.250 0.068
```

***

5.
# Rb2UBr6
Theoretical X-ray diffraction stick pattern, a wavelength of 1.5418 Å. Input: a DFT-relaxed cell (PBE, the Materials Project).
Peak positions follow from Bragg's law for the DFT cell and can differ from measured ones.

Most intense lines, 2θ = 15–90°, in order of falling intensity:
- 2θ = 31.9°, I = 100.0
- 2θ = 45.8°, I = 72.4
- 2θ = 27.6°, I = 48.6
- 2θ = 26.4°, I = 40.7
- 2θ = 75.9°, I = 32.9
- 2θ = 22.4°, I = 32.8

Crystal structure
```
Rb2UBr6
1.0
0.000 5.605 5.605
5.605 0.000 5.605
5.605 5.605 0.000
Rb U Br
2 1 6
Direct
0.250 0.250 0.250
0.750 0.750 0.750
0.000 0.000 0.000
0.248 0.248 0.752
0.248 0.752 0.248
0.248 0.752 0.752
0.752 0.248 0.248
0.752 0.248 0.752
0.752 0.752 0.248
```

***

6.
# Sr2CuCO5
Theoretical X-ray diffraction stick pattern, a wavelength of 1.5418 Å. Input: a DFT-relaxed cell (PBE, the Materials Project).
Peak positions follow from Bragg's law for the DFT cell and can differ from measured ones.

Most intense lines, 2θ = 15–90°, in order of falling intensity:
- 2θ = 32.6°, I = 100.0
- 2θ = 32.2°, I = 45.6
- 2θ = 57.7°, I = 32.0
- 2θ = 46.2°, I = 27.8
- 2θ = 42.1°, I = 18.7
- 2θ = 40.0°, I = 16.9

Crystal structure
```
Sr2CuCO5
1.0
-2.778 2.778 7.686
2.778 -2.778 7.686
2.778 2.778 -7.686
Sr Cu C O
4 2 2 10
Direct
0.113 0.613 0.500
0.387 0.887 0.500
0.613 0.113 0.500
0.887 0.387 0.500
0.000 0.000 0.000
0.500 0.500 0.000
0.246 0.246 0.000
0.754 0.754 0.000
0.143 0.431 0.000
0.161 0.161 0.000
0.248 0.248 0.504
0.256 0.752 0.000
0.431 0.143 0.000
0.569 0.569 0.713
0.744 0.744 0.496
0.752 0.256 0.000
0.839 0.839 0.000
0.857 0.857 0.287
```

***

7.
# Nd3Sn13Ir4
Theoretical X-ray diffraction stick pattern, a wavelength of 1.5418 Å. Input: a DFT-relaxed cell (PBE, the Materials Project).
Peak positions follow from Bragg's law for the DFT cell and can differ from measured ones.

Most intense lines, 2θ = 15–90°, in order of falling intensity:
- 2θ = 32.9°, I = 100.0
- 2θ = 45.2°, I = 44.1
- 2θ = 34.2°, I = 37.7
- 2θ = 36.6°, I = 35.8
- 2θ = 41.1°, I = 27.7
- 2θ = 18.1°, I = 26.2

Crystal structure
```
Nd3Sn13Ir4
1.0
9.824 0.000 0.000
0.000 9.824 0.000
0.000 0.000 9.824
Nd Sn Ir
6 26 8
Direct
0.000 0.250 0.500
0.000 0.750 0.500
0.250 0.500 0.000
0.500 0.000 0.250
0.500 0.000 0.750
0.750 0.500 0.000
0.000 0.000 0.000
0.000 0.306 0.153
0.000 0.306 0.847
0.000 0.694 0.153
0.000 0.694 0.847
0.153 0.000 0.306
0.153 0.000 0.694
0.194 0.500 0.347
0.194 0.500 0.653
0.306 0.153 0.000
0.306 0.847 0.000
0.347 0.194 0.500
0.347 0.806 0.500
0.500 0.347 0.194
0.500 0.347 0.806
0.500 0.500 0.500
0.500 0.653 0.194
0.500 0.653 0.806
0.653 0.194 0.500
0.653 0.806 0.500
0.694 0.153 0.000
0.694 0.847 0.000
0.806 0.500 0.347
0.806 0.500 0.653
0.847 0.000 0.306
0.847 0.000 0.694
0.250 0.250 0.250
0.250 0.250 0.750
0.250 0.750 0.250
0.250 0.750 0.750
0.750 0.250 0.250
0.750 0.250 0.750
0.750 0.750 0.250
0.750 0.750 0.750
```

***

8.
# Ce2Ni5C3
Theoretical X-ray diffraction stick pattern, a wavelength of 1.5418 Å. Input: a DFT-relaxed cell (PBE, the Materials Project).
Peak positions follow from Bragg's law for the DFT cell and can differ from measured ones.

Most intense lines, 2θ = 15–90°, in order of falling intensity:
- 2θ = 33.3°, I = 100.0
- 2θ = 41.4°, I = 50.6
- 2θ = 44.9°, I = 30.5
- 2θ = 23.9°, I = 22.6
- 2θ = 46.8°, I = 21.8
- 2θ = 38.4°, I = 19.6

Crystal structure
```
Ce2Ni5C3
1.0
8.332 0.000 0.000
0.000 8.332 0.000
0.000 0.000 3.882
Ce Ni C
4 10 6
Direct
0.159 0.341 0.000
0.341 0.841 0.000
0.659 0.159 0.000
0.841 0.659 0.000
0.000 0.000 0.000
0.077 0.787 0.500
0.213 0.077 0.500
0.287 0.577 0.500
0.423 0.287 0.500
0.500 0.500 0.000
0.577 0.713 0.500
0.713 0.423 0.500
0.787 0.923 0.500
0.923 0.213 0.500
0.000 0.000 0.500
0.058 0.558 0.500
0.442 0.058 0.500
0.500 0.500 0.500
0.558 0.942 0.500
0.942 0.442 0.500
```